Entry 1:
For Ni4Te3N2, a PBE-relaxed structure gives the calculated powder XRD pattern in this record (Cu Kα X-rays).
Neutral-atom scattering factors, no anomalous dispersion.

Cell and atoms:
a = 6.2612 Å, b = 10.5678 Å, c = 8.8878 Å
α = 90.00°, β = 90.00°, γ = 90.00°
Fractional positions:
Ni  0.0231  0.2500  0.1478
Ni  0.1920  0.5411  0.0640
Ni  0.1920  0.9589  0.0640
Ni  0.2072  0.2500  0.9144
Ni  0.2928  0.7500  0.4144
Ni  0.3080  0.0411  0.5640
Ni  0.3080  0.4589  0.5640
Ni  0.4769  0.7500  0.6478
Ni  0.5231  0.2500  0.3522
Ni  0.6920  0.5411  0.4360
Ni  0.6920  0.9589  0.4360
Ni  0.7072  0.2500  0.5856
Ni  0.7928  0.7500  0.0856
Ni  0.8080  0.0411  0.9360
Ni  0.8080  0.4589  0.9360
Ni  0.9769  0.7500  0.8522
Te  0.0558  0.0604  0.3222
Te  0.0558  0.4396  0.3222
Te  0.1151  0.2500  0.6442
Te  0.3849  0.7500  0.1442
Te  0.4442  0.5604  0.8222
Te  0.4442  0.9396  0.8222
Te  0.5558  0.0604  0.1778
Te  0.5558  0.4396  0.1778
Te  0.6151  0.2500  0.8558
Te  0.8849  0.7500  0.3558
Te  0.9442  0.5604  0.6778
Te  0.9442  0.9396  0.6778
N  0.0637  0.1182  0.0054
N  0.0637  0.3818  0.0054
N  0.4363  0.6182  0.5054
N  0.4363  0.8818  0.5054
N  0.5637  0.1182  0.4946
N  0.5637  0.3818  0.4946
N  0.9363  0.6182  0.9946
N  0.9363  0.8818  0.9946

Largest 8 diffraction maxima, by intensity, 10° ≤ 2θ ≤ 90°:
| Position (°2θ) | intensity |
| --- | --- |
| 35.54 | 100 |
| 27.23 | 58 |
| 34.81 | 54 |
| 33.46 | 48 |
| 31.42 | 39 |
| 29.76 | 39 |
| 51.36 | 34 |
| 53.28 | 30 |

***

Entry 2:
For Ca5Mn2N6, a PBE-relaxed structure gives the calculated powder XRD pattern in this record (Cu Kα X-rays).
Neutral-atom scattering factors, no anomalous dispersion.

Cell and atoms:
a = 6.3667 Å, b = 4.9634 Å, c = 6.8488 Å
α = 90.00°, β = 103.05°, γ = 90.00°
Fractional positions:
Ca  0.0000  0.0000  0.0000
Ca  0.0824  0.0000  0.4976
Ca  0.3137  0.5000  0.2934
Ca  0.4001  0.5000  0.8291
Ca  0.6022  0.0000  0.5605
Mn  0.5015  0.0000  0.1055
Mn  0.9148  0.5000  0.6922
N  0.0452  0.5000  0.9391
N  0.1001  0.5000  0.5402
N  0.3150  0.0000  0.2693
N  0.4061  0.0000  0.8486
N  0.6383  0.5000  0.5997
N  0.7579  0.0000  0.2285

Largest 8 diffraction maxima, by intensity, 10° ≤ 2θ ≤ 90°:
| Position (°2θ) | intensity |
| --- | --- |
| 36.20 | 100 |
| 34.12 | 70 |
| 32.33 | 61 |
| 22.32 | 55 |
| 32.86 | 42 |
| 28.82 | 34 |
| 34.77 | 34 |
| 44.13 | 22 |

***

Entry 3:
For HfP2S6, a PBE-relaxed structure gives the calculated powder XRD pattern in this record (Cu Kα X-rays).
Neutral-atom scattering factors, no anomalous dispersion.

Cell and atoms:
a = 12.3711 Å, b = 11.6619 Å, c = 7.1391 Å
α = 78.25°, β = 67.35°, γ = 34.40°
Fractional positions:
Hf  0.0000  0.0000  0.0000
Hf  0.2500  0.2500  0.2500
P  0.1193  0.2083  0.0047
P  0.2083  0.1193  0.6677
P  0.2453  0.5823  0.1307
P  0.5823  0.2453  0.0417
S  0.0053  0.4634  0.0589
S  0.0896  0.5742  0.3595
S  0.1836  0.6634  0.8691
S  0.1911  0.7776  0.2447
S  0.2734  0.8905  0.6758
S  0.3809  0.9661  0.0664
S  0.4634  0.0053  0.4724
S  0.5742  0.0896  0.9766
S  0.6634  0.1836  0.2839
S  0.7776  0.1911  0.7866
S  0.8905  0.2734  0.1604
S  0.9661  0.3809  0.5866

Largest 8 diffraction maxima, by intensity, 10° ≤ 2θ ≤ 90°:
| Position (°2θ) | intensity |
| --- | --- |
| 13.77 | 100 |
| 17.24 | 26 |
| 32.85 | 26 |
| 24.31 | 15 |
| 16.25 | 14 |
| 45.55 | 14 |
| 30.66 | 12 |
| 23.08 | 12 |